(1)
Computed powder XRD pattern of YTaO4 for copper Kα, from a crystal structure in Alexandria, relaxed with GGA-PBE.
Intensities are scaled so that the largest is 100.

Principal peaks in the range 5° ≤ 2θ ≤ 70°, by intensity:
| 2θ (°) | I/Imax | h k l |
| --- | --- | --- |
| 27.90 | 100 | 1 1 -1 |
| 30.21 | 80 | 1 1 1 |
| 33.74 | 23 | 0 0 2 |
| 48.36 | 21 | 2 2 0 |
| 47.40 | 21 | 0 2 2 |
| 17.30 | 19 | 1 0 0 |
| 46.38 | 18 | 2 0 -2 |
| 23.19 | 17 | 0 1 1 |

Structural model:
```
YTaO4
1.0
5.1594 0.0000 0.0000
0.0000 5.5439 0.0000
-0.6004 0.0000 5.3129
Y Ta O
2 2 8
Cartesian
-0.1501 1.2870 1.3282
-0.4503 4.2569 3.9847
2.1294 1.7067 3.9847
2.4296 3.8372 1.3282
0.9291 0.4844 3.1950
1.2293 5.0595 0.5386
0.7934 2.4093 5.2974
1.0936 3.1345 2.6410
3.4654 2.4093 2.6719
3.7656 3.1345 0.0155
3.3298 0.4844 4.7743
3.6300 5.0595 2.1179
```

(2)
Computed powder XRD pattern of Y3TaO7 for copper Kα, from a crystal structure in Alexandria, relaxed with GGA-PBE.
Intensities are scaled so that the largest is 100.

Principal peaks in the range 5° ≤ 2θ ≤ 70°, by intensity:
| 2θ (°) | I/Imax | h k l |
| --- | --- | --- |
| 29.43 | 100 | 1 0 -2 |
| 31.70 | 35 | 2 0 0 |
| 28.41 | 31 | -1 2 1 |
| 31.02 | 29 | 1 2 2 |
| 28.31 | 28 | 1 2 1 |
| 19.99 | 28 | 1 0 -1 |
| 55.94 | 21 | 2 2 4 |
| 23.47 | 18 | 0 2 1 |

Structural model:
```
Y3TaO7
1.0
5.6460 0.0000 0.0000
0.0295 7.5810 0.0000
0.0096 3.7455 7.1995
Y Ta O
6 2 14
Cartesian
0.0000 0.0000 0.0000
0.0301 7.4745 6.9651
0.2947 6.4144 3.1248
2.7721 1.3031 1.3904
3.0752 5.1165 1.4533
5.5069 2.6403 3.0736
2.7291 4.2493 4.6987
2.8896 8.0994 4.8186
0.8324 1.9840 0.6881
1.0257 3.5072 5.2464
1.5301 4.2281 2.8224
1.5670 8.6030 3.4848
1.7246 6.8777 1.3685
2.0996 6.2456 4.6463
2.1807 8.3456 6.5223
3.5459 4.4791 6.4237
3.6002 2.4007 4.4589
4.0896 3.0998 1.2775
4.2316 4.8278 3.4809
4.6127 7.9825 2.2681
4.6796 7.4035 5.0102
5.0553 5.6080 0.6458
```